Diffraction record for EuEr3. The powder X-ray diffraction pattern is theoretical, not measured: it uses a GGA-PBE-relaxed structure and Cu Ka.

Main lines, in order of falling intensity (2θ = 10–80°):
| hkl | two_theta | I_rel |
| --- | --- | --- |
| 1 1 1 | 32.60 | 100 |
| 0 1 2 | 32.40 | 52 |
| 0 2 0 | 31.08 | 38 |
| 1 0 1 | 28.55 | 25 |
| 1 2 3 | 60.32 | 23 |
| 1 3 1 | 56.26 | 21 |
| 1 0 3 | 50.30 | 20 |
| 2 1 2 | 61.47 | 17 |
| 1 2 1 | 42.71 | 17 |
| 2 2 0 | 60.67 | 11 |

Atomic structure:
```
EuEr3
1.0
3.6008 0.0000 0.0000
0.0000 5.7558 0.0000
0.0000 0.0000 6.2989
Eu Er
1 3
direct
0.0000 0.0000 0.0000
0.0000 0.5000 0.6619
0.5000 0.0000 0.4984
0.5000 0.5000 0.1756
```